(1)
For Er2ZnHg, a DFT-relaxed cell (PBE, the Materials Project) gives the simulated PXRD pattern in this record (Cu Kα (weighted mean of Kα1 and Kα2)).

Most intense lines, 2θ from 5° to 70°, by angle:
| 2theta | I_rel |
| --- | --- |
| 21.2 | 102 |
| 24.6 | 12 |
| 35.0 | 1000 |
| 41.3 | 59 |
| 50.3 | 180 |
| 55.2 | 26 |
| 62.8 | 370 |
| 67.1 | 20 |

Structure:
```
Er2ZnHg
1.0
7.252 0.000 0.000
0.000 7.252 0.000
0.000 0.000 7.252
Er Zn Hg
8 4 4
Cartesian
1.813 1.813 1.813
1.813 1.813 5.439
1.813 5.439 1.813
1.813 5.439 5.439
5.439 1.813 1.813
5.439 1.813 5.439
5.439 5.439 1.813
5.439 5.439 5.439
0.000 0.000 0.000
0.000 3.626 3.626
3.626 0.000 3.626
3.626 3.626 0.000
0.000 0.000 3.626
0.000 3.626 0.000
3.626 0.000 0.000
3.626 3.626 3.626
```

***

(2)
For Zr5Sn3, a DFT-relaxed cell (PBE, the Materials Project) gives the simulated PXRD pattern in this record (Cu Kα (weighted mean of Kα1 and Kα2)).

Most intense lines, 2θ from 5° to 70°, by angle:
| 2theta | I_rel |
| --- | --- |
| 12.0 | 115 |
| 30.8 | 221 |
| 32.0 | 241 |
| 35.6 | 1000 |
| 36.4 | 504 |
| 37.4 | 722 |
| 39.4 | 98 |
| 46.9 | 207 |
| 53.2 | 153 |
| 57.9 | 244 |

Structure:
```
Zr5Sn3
1.0
8.551 0.000 0.000
-4.276 7.406 0.000
0.000 0.000 5.812
Zr Sn
10 6
Cartesian
-1.054 1.826 1.453
-3.221 5.579 4.359
2.109 0.000 1.453
1.054 1.826 4.359
0.000 4.937 0.000
0.000 4.937 2.906
4.276 2.469 0.000
4.276 2.469 2.906
6.443 0.000 4.359
3.221 5.579 1.453
-1.675 2.902 4.359
-2.600 4.504 1.453
3.351 0.000 4.359
1.675 2.902 1.453
5.201 0.000 1.453
2.600 4.504 4.359
```

***

(3)
For B5Mo2, a DFT-relaxed cell (PBE, the Materials Project) gives the simulated PXRD pattern in this record (Cu Kα (weighted mean of Kα1 and Kα2)).

Most intense lines, 2θ from 5° to 70°, by angle:
| 2theta | I_rel |
| --- | --- |
| 24.9 | 582 |
| 33.8 | 1000 |
| 34.6 | 365 |
| 37.6 | 176 |
| 39.7 | 482 |
| 45.0 | 711 |
| 48.0 | 383 |
| 59.9 | 351 |
| 65.9 | 248 |
| 66.5 | 145 |

Structure:
```
B5Mo2
1.0
1.543 0.891 7.165
-1.543 0.891 7.165
0.000 -1.782 7.165
B Mo
5 2
Cartesian
0.000 0.000 0.000
0.000 0.000 3.620
0.000 0.000 6.787
0.000 0.000 14.708
0.000 0.000 17.875
0.000 0.000 9.123
0.000 0.000 12.372
```

***

(4)
For RuC4I2O4, a DFT-relaxed cell (PBE, the Materials Project) gives the simulated PXRD pattern in this record (Cu Kα (weighted mean of Kα1 and Kα2)).

Most intense lines, 2θ from 5° to 70°, by angle:
| 2theta | I_rel |
| --- | --- |
| 14.6 | 1000 |
| 16.3 | 518 |
| 17.3 | 220 |
| 20.3 | 586 |
| 25.3 | 291 |
| 27.8 | 219 |
| 28.6 | 530 |
| 30.2 | 221 |
| 30.3 | 853 |
| 44.9 | 324 |

Structure:
```
RuC4I2O4
1.0
3.611 -5.573 0.000
3.611 5.573 0.000
-0.235 0.000 12.849
Ru C I O
2 8 4 8
Cartesian
3.434 5.387 9.637
3.552 -5.387 3.212
2.590 4.136 10.829
1.564 0.092 4.346
1.446 -0.092 10.771
4.278 4.136 8.445
2.708 -4.136 4.404
5.540 0.092 2.079
5.423 -0.092 8.503
4.396 -4.136 2.021
4.606 -3.805 8.028
2.380 3.805 4.822
4.724 3.805 1.603
2.263 -3.805 11.246
2.084 3.403 11.562
2.521 0.046 4.979
2.403 -0.046 11.404
4.785 3.403 7.712
2.202 -3.403 5.137
4.583 0.046 1.445
4.465 -0.046 7.870
4.902 -3.403 1.288
```